Starting from the GGA-PBE geometry in Alexandria, the X-ray powder pattern of Tb7Pr6Tm16 was computed for λ = 1.5418 Å (Cu Kα).

Structural model:
abc: 11.1409 11.1409 11.1409
angles: 60.00 60.00 60.00
Fractional coordinates of all 29 atoms:
Tb (0.0000, 0.0000, 0.0000)
Tb (0.0000, 0.0000, 0.5000)
Tb (0.0000, 0.5000, 0.0000)
Tb (0.0000, 0.5000, 0.5000)
Tb (0.5000, 0.0000, 0.0000)
Tb (0.5000, 0.0000, 0.5000)
Tb (0.5000, 0.5000, 0.0000)
Pr (0.2666, 0.2666, 0.7334)
Pr (0.2666, 0.7334, 0.2666)
Pr (0.2666, 0.7334, 0.7334)
Pr (0.7334, 0.2666, 0.2666)
Pr (0.7334, 0.2666, 0.7334)
Pr (0.7334, 0.7334, 0.2666)
Tm (0.0500, 0.6500, 0.6500)
Tm (0.1289, 0.1289, 0.1289)
Tm (0.1289, 0.1289, 0.6132)
Tm (0.1289, 0.6132, 0.1289)
Tm (0.3500, 0.3500, 0.3500)
Tm (0.3500, 0.3500, 0.9500)
Tm (0.3500, 0.9500, 0.3500)
Tm (0.3868, 0.8711, 0.8711)
Tm (0.6132, 0.1289, 0.1289)
Tm (0.6500, 0.0500, 0.6500)
Tm (0.6500, 0.6500, 0.0500)
Tm (0.6500, 0.6500, 0.6500)
Tm (0.8711, 0.3868, 0.8711)
Tm (0.8711, 0.8711, 0.3868)
Tm (0.8711, 0.8711, 0.8711)
Tm (0.9500, 0.3500, 0.3500)

Principal peaks in the range 5° ≤ 2θ ≤ 70°, in order of rising 2θ:
25.28°, I = 57
27.74°, I = 54
29.46°, I = 77
32.14°, I = 1000
33.65°, I = 53
34.14°, I = 61
46.09°, I = 141
57.29°, I = 263
63.60°, I = 52
67.23°, I = 72

Starting from the GGA-PBE geometry in Alexandria, the X-ray powder pattern of Tb4Pr10Tm was computed for λ = 1.5418 Å (Cu Kα).

Structural model:
abc: 9.6381 9.6381 9.6381
angles: 99.61 99.61 131.76
Fractional coordinates of all 15 atoms:
Tb (0.1007, 0.7006, 0.8012)
Tb (0.2994, 0.1007, 0.4001)
Tb (0.7006, 0.8993, 0.5999)
Tb (0.8993, 0.2994, 0.1988)
Pr (0.0512, 0.3499, 0.8995)
Pr (0.1517, 0.0512, 0.7013)
Pr (0.2500, 0.7500, 0.5000)
Pr (0.3499, 0.4504, 0.2987)
Pr (0.4504, 0.1517, 0.1005)
Pr (0.5496, 0.8483, 0.8995)
Pr (0.6501, 0.5496, 0.7013)
Pr (0.7500, 0.2500, 0.5000)
Pr (0.8483, 0.9488, 0.2987)
Pr (0.9488, 0.6501, 0.1005)
Tm (0.5000, 0.5000, 0.0000)

Principal peaks in the range 5° ≤ 2θ ≤ 70°, in order of rising 2θ:
19.53°, I = 297
22.59°, I = 97
32.17°, I = 1000
37.91°, I = 166
46.13°, I = 184
50.55°, I = 73
51.96°, I = 40
57.35°, I = 385
61.19°, I = 55
67.29°, I = 119

Starting from the GGA-PBE geometry in Alexandria, the X-ray powder pattern of Tb4Pr8Tm was computed for λ = 1.5418 Å (Cu Kα).

Structural model:
abc: 6.7725 7.9180 8.9482
angles: 89.71 80.06 74.31
Fractional coordinates of all 13 atoms:
Tb (0.2204, 0.0757, 0.4778)
Tb (0.2448, 0.5677, 0.4487)
Tb (0.7552, 0.4323, 0.5513)
Tb (0.7796, 0.9243, 0.5222)
Pr (0.0401, 0.3710, 0.1611)
Pr (0.1063, 0.8899, 0.1504)
Pr (0.3801, 0.2385, 0.7747)
Pr (0.4036, 0.8084, 0.7673)
Pr (0.5964, 0.1916, 0.2327)
Pr (0.6199, 0.7615, 0.2253)
Pr (0.8937, 0.1101, 0.8496)
Pr (0.9599, 0.6290, 0.8389)
Tm (0.5000, 0.5000, 0.0000)

Principal peaks in the range 5° ≤ 2θ ≤ 70°, in order of rising 2θ:
30.46°, I = 366
30.93°, I = 890
31.17°, I = 551
31.33°, I = 937
31.51°, I = 1000
31.74°, I = 747
32.25°, I = 738
45.87°, I = 390
54.65°, I = 202
56.47°, I = 191